Starting from a structure optimized by DFT (PBE+U), the XRD peak list of TiVP3O12 was simulated for Cu Kα (weighted mean of Kα1 and Kα2).
Neutral-atom scattering factors, no anomalous dispersion.

The 10 most intense peaks (10° ≤ 2θ ≤ 90°), by intensity:
2θ/deg  d_spacing  I_rel
24.1  3.689  100
20.2  4.401  50
14.4  6.134  46
29.1  3.067  44
32.2  2.776  41
20.8  4.276  21
53.1  1.724  10
46.4  1.957  10
57.0  1.616  10
36.4  2.469  9

Cell and atoms:
```
data_TiVP3O12
_chemical_formula_sum 'Ti2 V2 P6 O24'
_symmetry_space_group_name_H-M 'P 1'
_symmetry_Int_Tables_number 1
_cell_length_a 8.8093
_cell_length_b 8.8093
_cell_length_c 8.8093
_cell_angle_alpha 58.08
_cell_angle_beta 58.08
_cell_angle_gamma 58.08
loop_
_symmetry_equiv_pos_as_xyz
'x,y,z'
loop_
_atom_site_label
_atom_site_fract_x
_atom_site_fract_y
_atom_site_fract_z
Ti1 0.0000 0.0000 0.0000
Ti2 0.5000 0.5000 0.5000
V1 0.2813 0.2813 0.2813
V2 0.7813 0.7813 0.7813
P1 0.1068 0.3958 0.6679
P2 0.1679 0.8958 0.6068
P3 0.3958 0.6679 0.1068
P4 0.6068 0.1679 0.8958
P5 0.6679 0.1068 0.3958
P6 0.8958 0.6068 0.1679
O1 0.0688 0.2255 0.8485
O2 0.0784 0.4275 0.1919
O3 0.1332 0.3747 0.4907
O4 0.1425 0.9206 0.7778
O5 0.1919 0.0784 0.4275
O6 0.2255 0.8485 0.0688
O7 0.2778 0.4207 0.6425
O8 0.3485 0.7255 0.5688
O9 0.3747 0.4907 0.1332
O10 0.4207 0.6425 0.2778
O11 0.4275 0.1919 0.0784
O12 0.4907 0.1332 0.3747
O13 0.5688 0.3485 0.7255
O14 0.5784 0.6919 0.9275
O15 0.6332 0.9907 0.8747
O16 0.6425 0.2778 0.4206
O17 0.6919 0.9275 0.5784
O18 0.7255 0.5688 0.3485
O19 0.7778 0.1425 0.9207
O20 0.8485 0.0688 0.2255
O21 0.8747 0.6332 0.9907
O22 0.9207 0.7778 0.1425
O23 0.9275 0.5784 0.6919
O24 0.9907 0.8747 0.6332
```